Calculated PXRD pattern of InCo2O3 for Cu Kα, 1.54184 Å, from a cell relaxed with GGA+U.
Intensities are scaled so that the largest is 100.

Main lines, by angle (5° ≤ 2θ ≤ 70°):
19.0°, I = 14; 21.7°, I = 17; 34.7°, I = 69; 34.9°, I = 68; 39.5°, I = 55; 40.8°, I = 100; 58.1°, I = 64; 58.7°, I = 15; 59.3°, I = 15; 68.6°, I = 10

Cell: 5.435 5.435 5.435 Å, 146.37 130.41 61.26°
Fractional positions:
In 0.000 0.000 0.000
Co 0.336 0.336 0.000
Co 0.664 0.664 0.000
O 0.166 0.666 0.500
O 0.500 0.000 0.500
O 0.834 0.334 0.500